Theoretical XRD peak list of ZrScHg4 for CuKα, from DFT lattice parameters and positions (GGA-PBE).

Main lines, in order of rising 2θ (2θ from 10° to 90°):
20.98 deg, intensity 18; 31.67 deg, intensity 21; 35.26 deg, intensity 46; 36.36 deg, intensity 100; 39.62 deg, intensity 37; 61.10 deg, intensity 14; 63.99 deg, intensity 20; 66.15 deg, intensity 23; 68.99 deg, intensity 14; 72.54 deg, intensity 17

Structural model:
```
ZrScHg4
1.0
3.3984 0.0000 0.0000
0.0000 5.0923 0.0000
-1.6901 0.0000 7.6272
Zr Sc Hg
1 1 4
Direct
0.0000 0.0000 0.0000
0.2200 0.5000 0.4403
0.3350 0.0000 0.6680
0.5525 0.5000 0.1082
0.6692 0.0000 0.3373
0.8847 0.5000 0.7708
```

Theoretical XRD peak list of Hg3Se for CuKα, from DFT lattice parameters and positions (GGA-PBE).

Main lines, in order of rising 2θ (2θ from 10° to 90°):
27.85 deg, intensity 94; 32.65 deg, intensity 79; 34.55 deg, intensity 39; 35.44 deg, intensity 100; 35.80 deg, intensity 21; 40.87 deg, intensity 25; 45.95 deg, intensity 21; 50.19 deg, intensity 28; 52.39 deg, intensity 21; 54.34 deg, intensity 30

Structural model:
```
Hg3Se
1.0
3.0676 0.0000 0.0000
0.0000 6.4061 0.0000
-0.8147 0.0000 5.5156
Hg Se
3 1
Direct
0.0000 0.0000 0.0000
0.3617 0.5000 0.7390
0.6383 0.5000 0.2610
0.0000 0.0000 0.5000
```

Theoretical XRD peak list of HgSe for CuKα, from DFT lattice parameters and positions (GGA-PBE).

Main lines, in order of rising 2θ (2θ from 10° to 90°):
23.24 deg, intensity 100; 26.03 deg, intensity 41; 33.09 deg, intensity 25; 37.10 deg, intensity 12; 40.84 deg, intensity 70; 47.51 deg, intensity 48; 49.06 deg, intensity 12; 50.54 deg, intensity 14; 64.36 deg, intensity 12; 88.42 deg, intensity 14

Structural model:
```
HgSe
1.0
7.6621 0.0000 0.0000
0.0000 7.6621 0.0000
0.0000 0.0000 4.4127
Hg Se
4 4
Direct
0.1836 0.1836 0.0000
0.3164 0.6836 0.5000
0.6836 0.3164 0.5000
0.8164 0.8164 0.0000
0.1772 0.8228 0.0000
0.3228 0.3228 0.5000
0.6772 0.6772 0.5000
0.8228 0.1772 0.0000
```

Theoretical XRD peak list of HgSe7 for CuKα, from DFT lattice parameters and positions (GGA-PBE).

Main lines, in order of rising 2θ (2θ from 10° to 90°):
17.44 deg, intensity 13; 20.16 deg, intensity 7; 28.66 deg, intensity 6; 33.75 deg, intensity 9; 35.29 deg, intensity 100; 40.98 deg, intensity 49; 59.35 deg, intensity 33; 70.97 deg, intensity 39; 74.65 deg, intensity 11; 88.87 deg, intensity 6

Structural model:
```
HgSe7
1.0
0.0000 4.4046 4.4046
4.4046 0.0000 4.4046
4.4046 4.4046 0.0000
Hg Se
1 7
Direct
0.0000 0.0000 0.0000
0.0000 0.0000 0.5000
0.0000 0.5000 0.0000
0.0000 0.5000 0.5000
0.5000 0.0000 0.0000
0.5000 0.0000 0.5000
0.5000 0.5000 0.0000
0.5000 0.5000 0.5000
```

What is the formula in the third record?
HgSe

Repeat the second record exactly.
Theoretical XRD peak list of Hg3Se for CuKα, from DFT lattice parameters and positions (GGA-PBE).

Main lines, in order of rising 2θ (2θ from 10° to 90°):
27.85 deg, intensity 94; 32.65 deg, intensity 79; 34.55 deg, intensity 39; 35.44 deg, intensity 100; 35.80 deg, intensity 21; 40.87 deg, intensity 25; 45.95 deg, intensity 21; 50.19 deg, intensity 28; 52.39 deg, intensity 21; 54.34 deg, intensity 30

Structural model:
```
Hg3Se
1.0
3.0676 0.0000 0.0000
0.0000 6.4061 0.0000
-0.8147 0.0000 5.5156
Hg Se
3 1
Direct
0.0000 0.0000 0.0000
0.3617 0.5000 0.7390
0.6383 0.5000 0.2610
0.0000 0.0000 0.5000
```